# 1
This entry pairs a crystal structure of Mg6TiCu with its computed XRD peak list. Radiation: Cu Kα. Structure: DFT lattice parameters and positions (GGA-PBE).

Structure:
Cell: 4.847 6.191 6.191 Å, 59.54 90.00 90.00°
Sites, in units of the cell vectors:
1 Mg 0.000 0.000 0.000
2 Mg 0.000 0.012 0.506
3 Mg 0.000 0.497 0.497
4 Mg 0.000 0.506 0.012
5 Mg 0.500 0.336 0.843
6 Mg 0.500 0.843 0.336
7 Ti 0.500 0.839 0.839
8 Cu 0.500 0.336 0.336

Most intense lines, 10 to 80 degrees two-theta, in order of rising 2θ:
16.5 deg, rel. 19.4
33.6 deg, rel. 28.9
37.1 deg, rel. 36.7
38.3 deg, rel. 51.3
38.5 deg, rel. 100.0
50.9 deg, rel. 17.5
59.8 deg, rel. 17.7
72.5 deg, rel. 17.7

---

# 2
This entry pairs a crystal structure of SrCa2Cu2Bi2O8 with its computed XRD peak list. Radiation: Cu Kα. Structure: DFT lattice parameters and positions (GGA-PBE).

Structure:
Cell: 15.851 15.851 5.260 Å, 90.00 90.00 160.01°
Sites, in units of the cell vectors:
1 Sr 0.000 0.500 0.000
2 Sr 0.500 0.000 0.500
3 Ca 0.092 0.377 0.000
4 Ca 0.377 0.092 0.500
5 Ca 0.623 0.908 0.500
6 Ca 0.908 0.623 0.000
7 Cu 0.060 0.444 0.500
8 Cu 0.444 0.060 0.000
9 Cu 0.556 0.940 0.000
10 Cu 0.940 0.556 0.500
11 Bi 0.170 0.268 0.500
12 Bi 0.268 0.170 0.000
13 Bi 0.732 0.830 0.000
14 Bi 0.830 0.732 0.500
15 O 0.109 0.339 0.500
16 O 0.126 0.221 0.000
17 O 0.193 0.807 0.250
18 O 0.193 0.807 0.750
19 O 0.221 0.126 0.500
20 O 0.310 0.690 0.250
21 O 0.310 0.690 0.750
22 O 0.339 0.109 0.000
23 O 0.661 0.891 0.000
24 O 0.690 0.310 0.250
25 O 0.690 0.310 0.750
26 O 0.779 0.874 0.500
27 O 0.807 0.193 0.250
28 O 0.807 0.193 0.750
29 O 0.874 0.779 0.000
30 O 0.891 0.661 0.500

Most intense lines, 10 to 80 degrees two-theta, in order of rising 2θ:
22.8 deg, rel. 32.2
24.9 deg, rel. 71.0
27.5 deg, rel. 57.7
30.9 deg, rel. 100.0
32.5 deg, rel. 42.7
34.1 deg, rel. 43.3
47.8 deg, rel. 40.1
50.0 deg, rel. 25.4